# MgCd2Mo2O8
Simulated XRD peak list, Cu Kα. Input: a PBE+U-relaxed structure.
No peak broadening, texture or thermal motion is included.

Structural model:
```
MgCd2Mo2O8
1.0
3.3607 -7.3416 0.0000
3.3607 7.3416 0.0000
-3.3118 0.0000 3.9702
Mg Cd Mo O
1 2 2 8
Direct
0.0000 0.0000 0.0000
0.1470 0.8530 0.5000
0.3404 0.6596 0.0000
0.6618 0.3382 0.5000
0.8021 0.1979 0.0000
0.0923 0.2965 0.9926
0.3192 0.1684 0.4070
0.4835 0.0849 0.0353
0.5403 0.0051 0.5287
0.7035 0.9077 0.0074
0.8316 0.6808 0.5930
0.9151 0.5165 0.9647
0.9949 0.4597 0.4713
```

Principal peaks in the range 2θ = 10–90°, in order of falling intensity:
2theta	I/Imax
25.51	100
12.06	83
29.23	53
36.24	50
35.19	21
33.24	20
45.70	20
51.46	19
51.78	17
59.98	16

---

# Na2MgV2Cd2O8
Simulated XRD peak list, Cu Kα. Input: a PBE+U-relaxed structure.
No peak broadening, texture or thermal motion is included.

Structural model:
```
Na2MgV2Cd2O8
1.0
6.1947 0.0000 0.0000
-2.8923 5.5992 0.0000
-0.3406 -1.4061 6.8072
Na Mg V Cd O
2 1 2 2 8
Direct
0.0000 0.0000 0.0000
0.1001 0.1181 0.5175
0.4490 0.5189 0.9432
0.4570 0.8845 0.7401
0.9887 0.5538 0.1690
0.5396 0.0281 0.2790
0.9095 0.4739 0.6753
0.1415 0.8801 0.2551
0.1780 0.4148 0.1036
0.2268 0.9719 0.7602
0.3003 0.5353 0.6853
0.5944 0.8850 0.9895
0.6910 0.0251 0.5858
0.7651 0.5045 0.9524
0.8055 0.4164 0.3597
```

Principal peaks in the range 2θ = 10–90°, in order of falling intensity:
2theta	I/Imax
16.65	100
32.66	45
28.89	37
30.28	36
27.98	34
18.61	32
33.67	28
32.07	25
26.18	22
32.87	22

---

# Na2MgV2Cd2O8
Simulated XRD peak list, Cu Kα. Input: a PBE+U-relaxed structure.
No peak broadening, texture or thermal motion is included.

Structural model:
```
Na2MgV2Cd2O8
1.0
5.6623 0.0000 0.0000
0.0000 6.5862 0.0000
-2.2785 0.0000 5.4824
Na Mg V Cd O
2 1 2 2 8
Direct
0.0000 0.0000 0.0000
0.4513 0.5000 0.1248
0.8259 0.5000 0.6061
0.6903 0.0000 0.3226
0.9598 0.5000 0.0659
0.3152 0.2477 0.6653
0.3152 0.7523 0.6653
0.0298 0.0000 0.4266
0.0437 0.5000 0.4079
0.0740 0.3017 0.8922
0.0740 0.6983 0.8922
0.5719 0.0000 0.0036
0.5914 0.2252 0.4222
0.5914 0.7748 0.4222
0.6064 0.5000 0.8272
```

Principal peaks in the range 2θ = 10–90°, in order of falling intensity:
2theta	I/Imax
31.72	100
32.12	63
27.73	43
16.17	38
30.46	35
18.41	33
39.15	25
46.72	25
16.96	22
54.09	21